Structure and computed powder diffraction line list of TaVRuO6 (a structure optimized by DFT (PBE+U); Cu Kα (λ = 1.5418 Å)).
No peak broadening, texture or thermal motion is included.

Structure:
a = 5.105 Å, b = 5.105 Å, c = 8.780 Å
α = 90.00°, β = 90.00°, γ = 120.00°
Element x y z (fractional)
Ta 0.333 0.667 0.250
Ta 0.667 0.333 0.750
V 0.333 0.667 0.750
V 0.667 0.333 0.250
Ru 0.000 0.000 0.000
Ru 0.000 0.000 0.500
O 0.005 0.334 0.127
O 0.005 0.671 0.373
O 0.329 0.334 0.373
O 0.329 0.995 0.127
O 0.334 0.005 0.627
O 0.334 0.329 0.873
O 0.666 0.671 0.127
O 0.666 0.995 0.373
O 0.671 0.005 0.873
O 0.671 0.666 0.627
O 0.995 0.329 0.627
O 0.995 0.666 0.873

The 6 most intense peaks (5° ≤ 2θ ≤ 70°), by angle:
3.949 Å, I 459, (1 0 1); 3.115 Å, I 1000, (1 0 2); 2.553 Å, I 485, (1 1 0); 1.974 Å, I 270, (2 0 2); 1.664 Å, I 459, (1 1 4); 1.562 Å, I 251, (3 -1 2)